This entry pairs a crystal structure of TiPd3 with its calculated powder diffraction line list. Radiation: Cu Kα (weighted mean of Kα1 and Kα2). Structure: a structure optimized by DFT (PBE).
No peak broadening, texture or thermal motion is included.

The 10 most intense peaks (2θ from 5° to 70°), by intensity:
h k l	d/Å	two_theta	Rel. int.
2 0 2	2.125	42.55	100
2 0 1	2.325	38.74	44
0 0 4	2.268	39.75	36
2 0 3	1.882	48.36	23
2 2 0	1.389	67.45	22
2 0 5	1.448	64.32	9
1 0 2	3.300	27.02	9
2 0 0	2.405	37.39	8
1 0 1	4.249	20.90	5
1 1 0	2.777	32.24	5

Structural model:
abc: 5.5540 5.5540 9.0700
angles: 90.00 90.00 120.00
Space group P6_3/mmc (No. 194)
Inequivalent atoms, fractional coordinates:
Ti (0.0000, 0.0000, 0.0000) x2
Ti (0.3333, 0.6667, 0.2500) x2
Pd (0.0000, 0.5000, 0.0000) x6
Pd (0.1662, 0.3324, 0.7500) x6



This entry pairs a crystal structure of Pm3CuSn3 with its calculated powder diffraction line list. Radiation: Cu Kα (weighted mean of Kα1 and Kα2). Structure: a structure optimized by DFT (PBE).
No peak broadening, texture or thermal motion is included.

The 10 most intense peaks (2θ from 5° to 70°), by intensity:
h k l	d/Å	two_theta	Rel. int.
1 1 -4	2.918	30.64	100
3 1 2	2.419	37.17	76
0 2 0	2.289	39.37	55
4 0 -2	2.869	31.17	50
1 1 3	2.965	30.14	49
3 1 -1	2.930	30.51	42
3 1 -4	2.576	34.83	36
0 0 6	2.376	37.87	28
4 2 -2	1.789	51.05	26
7 1 -3	1.545	59.88	24

Structural model:
abc: 11.487 4.577 15.153
angles: 90.00 109.82 90.00
Space group C2/m (No. 12)
Inequivalent atoms, fractional coordinates:
Pm (0.032, 0.000, 0.385) x4
Pm (0.097, 0.000, 0.920) x4
Pm (0.242, 0.000, 0.230) x4
Cu (0.235, 0.500, 0.393) x4
Sn (0.030, 0.500, 0.237) x4
Sn (0.128, 0.500, 0.076) x4
Sn (0.147, 0.500, 0.546) x4



This entry pairs a crystal structure of TbPm3Tl3Te8 with its calculated powder diffraction line list. Radiation: Cu Kα (weighted mean of Kα1 and Kα2). Structure: a structure optimized by DFT (PBE).
No peak broadening, texture or thermal motion is included.

The 10 most intense peaks (2θ from 5° to 70°), by intensity:
h k l	d/Å	two_theta	Rel. int.
4 0 0	3.278	27.20	100
2 2 2	2.404	37.41	39
0 4 0	2.241	40.25	36
4 4 0	1.850	49.26	20
10 2 -2	1.426	65.43	17
6 2 2	1.509	61.45	16
8 0 0	1.639	56.11	12
1 1 0	7.399	11.96	7
0 0 4	2.041	44.38	7
4 0 4	1.424	65.55	5

Structural model:
abc: 15.535 8.956 9.669
angles: 90.00 122.39 90.00
Space group C2/m (No. 12)
Inequivalent atoms, fractional coordinates:
Tb (0.000, 0.000, 0.000) x2
Pm (0.000, 0.500, 0.000) x2
Pm (0.250, 0.250, 0.000) x4
Tl (0.000, 0.000, 0.500) x2
Tl (0.250, 0.250, 0.500) x4
Te (0.010, 0.247, 0.782) x8
Te (0.238, 0.000, 0.218) x4
Te (0.241, 0.500, 0.222) x4



This entry pairs a crystal structure of TaCo2B4 with its calculated powder diffraction line list. Radiation: Cu Kα (weighted mean of Kα1 and Kα2). Structure: a structure optimized by DFT (PBE).
No peak broadening, texture or thermal motion is included.

The 10 most intense peaks (2θ from 5° to 70°), by intensity:
h k l	d/Å	two_theta	Rel. int.
1 1 2	2.063	43.90	100
1 0 3	2.454	36.61	83
0 1 1	3.047	29.31	79
0 1 5	1.953	46.50	49
0 0 2	6.231	14.21	47
1 1 4	1.789	51.04	30
1 0 1	2.955	30.24	27
0 0 4	3.116	28.65	25
0 0 6	2.077	43.57	24
1 0 7	1.537	60.23	15

Structural model:
abc: 3.042 3.143 12.463
angles: 90.00 90.00 90.00
Space group Immm (No. 71)
Inequivalent atoms, fractional coordinates:
Ta (0.000, 0.000, 0.000) x2
Co (0.000, 0.500, 0.314) x4
B (0.000, 0.000, 0.425) x4
B (0.000, 0.500, 0.152) x4



This entry pairs a crystal structure of SiTePtI with its calculated powder diffraction line list. Radiation: Cu Kα (weighted mean of Kα1 and Kα2). Structure: a structure optimized by DFT (PBE).
No peak broadening, texture or thermal motion is included.

The 10 most intense peaks (2θ from 5° to 70°), by intensity:
h k l	d/Å	two_theta	Rel. int.
1 1 1	3.082	28.97	100
0 0 1	9.046	9.78	90
1 1 -2	2.656	33.75	51
2 0 -1	3.099	28.81	50
2 0 4	1.862	48.91	45
1 1 3	2.219	40.66	39
0 0 2	4.523	19.63	37
3 1 0	1.900	47.88	31
2 0 2	2.663	33.66	26
2 0 -3	2.226	40.52	20

Structural model:
abc: 6.592 3.781 9.046
angles: 90.00 90.12 90.00
Space group Cm (No. 8)
Inequivalent atoms, fractional coordinates:
Si (0.000, 0.000, 0.000) x2
Te (0.337, 0.000, 0.303) x2
Pt (0.168, 0.500, 0.116) x2
I (0.499, 0.500, 0.723) x2



This entry pairs a crystal structure of Nd4TlCd2Ga with its calculated powder diffraction line list. Radiation: Cu Kα (weighted mean of Kα1 and Kα2). Structure: a structure optimized by DFT (PBE).
No peak broadening, texture or thermal motion is included.

The 10 most intense peaks (2θ from 5° to 70°), by intensity:
h k l	d/Å	two_theta	Rel. int.
1 1 0	2.710	33.05	100
3 0 0	1.565	59.04	36
2 0 8	1.916	47.44	18
2 2 0	1.355	69.35	11
1 0 7	2.951	30.29	3
0 1 5	3.517	25.32	2
0 0 3	8.856	9.99	2
1 0 1	4.621	19.21	2
1 1 15	1.482	62.67	2
2 1 7	1.607	57.34	1

Structural model:
abc: 5.4189 5.4189 26.5667
angles: 90.00 90.00 120.00
Space group R-3m (No. 166, hexagonal axes)
Inequivalent atoms, fractional coordinates:
Nd (0.0000, 0.0000, 0.1204) x6
Nd (0.0000, 0.0000, 0.3705) x6
Tl (0.0000, 0.0000, 0.5000) x3
Cd (0.0000, 0.0000, 0.2476) x6
Ga (0.0000, 0.0000, 0.0000) x3



This entry pairs a crystal structure of HoErTm4 with its calculated powder diffraction line list. Radiation: Cu Kα (weighted mean of Kα1 and Kα2). Structure: a structure optimized by DFT (PBE).
No peak broadening, texture or thermal motion is included.

The 10 most intense peaks (2θ from 5° to 70°), by intensity:
h k l	d/Å	two_theta	Rel. int.
0 2 0	2.751	32.55	100
1 1 1	2.795	32.02	92
1 3 1	1.597	57.74	35
1 2 2	1.961	46.31	33
2 2 0	1.462	63.66	29
0 3 3	1.588	58.07	19
0 4 0	1.376	68.17	12
1 2 0	2.151	42.00	12
2 0 0	1.725	53.08	8
1 0 0	3.451	25.82	7

Structural model:
abc: 3.451 5.505 9.525
angles: 90.00 90.00 90.00
Space group Pmmm (No. 47)
Inequivalent atoms, fractional coordinates:
Ho (0.000, 0.000, 0.000) x1
Er (0.000, 0.500, 0.500) x1
Tm (0.500, 0.000, 0.334) x2
Tm (0.500, 0.500, 0.167) x2



This entry pairs a crystal structure of CsCr2Cl8 with its calculated powder diffraction line list. Radiation: Cu Kα (weighted mean of Kα1 and Kα2). Structure: a structure optimized by DFT (PBE).
No peak broadening, texture or thermal motion is included.

The 10 most intense peaks (2θ from 5° to 70°), by intensity:
h k l	d/Å	two_theta	Rel. int.
0 1 -1	4.723	18.79	100
2 0 1	3.229	27.62	71
1 0 -1	4.777	18.57	63
1 1 1	5.369	16.51	61
1 -1 0	4.406	20.15	51
0 1 2	4.103	21.66	46
0 2 1	3.615	24.63	44
1 0 0	6.557	13.50	44
1 2 1	3.578	24.88	40
0 1 -2	3.184	28.02	35

Structural model:
abc: 6.841 7.526 8.837
angles: 71.22 77.06 76.16
Space group P-1 (No. 2)
Inequivalent atoms, fractional coordinates:
Cs (0.000, 0.000, 0.000) x1
Cr (0.220, 0.299, 0.300) x2
Cl (0.081, 0.656, 0.760) x2
Cl (0.228, 0.206, 0.556) x2
Cl (0.329, 0.566, 0.220) x2
Cl (0.394, 0.105, 0.159) x2